# KCr2Cu2Se6
Calculated X-ray powder pattern, CuKα. Input: a crystal structure in Alexandria, relaxed with PBE.

Top 10 peaks for 5 to 70 degrees two-theta, low angle first:
hkl 0 1 0, 6.034 Å, 14.68°, I = 81
hkl 1 0 1, 5.082 Å, 17.45°, I = 41
hkl 1 -1 0, 3.670 Å, 24.25°, I = 25
hkl -1 1 1, 3.065 Å, 29.14°, I = 100
hkl 1 2 0, 3.038 Å, 29.40°, I = 30
hkl 2 1 2, 2.841 Å, 31.49°, I = 70
hkl 2 2 1, 2.759 Å, 32.45°, I = 44
hkl 1 2 -1, 2.357 Å, 38.18°, I = 55
hkl -1 1 2, 2.283 Å, 39.46°, I = 50
hkl 1 -3 0, 1.752 Å, 52.21°, I = 39

Cell: 6.552 6.750 6.962 Å, 68.48 65.07 67.15°
Fractional positions:
K  0.000  0.000  0.000
Cr  0.348  0.329  0.985
Cr  0.652  0.671  0.015
Cu  0.205  0.606  0.379
Cu  0.795  0.394  0.621
Se  0.048  0.489  0.765
Se  0.357  0.920  0.249
Se  0.466  0.672  0.770
Se  0.534  0.328  0.230
Se  0.643  0.080  0.751
Se  0.952  0.511  0.235